1.
This entry pairs a crystal structure of Sr2YbCu2Bi2O8 with its theoretical powder X-ray diffraction pattern. Radiation: Cu Ka. Structure: DFT lattice parameters and positions (GGA-PBE).
Neutral-atom scattering factors, no anomalous dispersion.

Crystal structure
Unit cell a=5.499 b=30.892 c=5.314 alpha=90.00 beta=90.00 gamma=90.00
Space group Cccm (No. 66)
Symmetry-distinct sites (fractional):
Sr 0.246 0.139 0.000 [8 per cell]
Yb 0.250 0.250 0.000 [4 per cell]
Cu 0.250 0.200 0.500 [8 per cell]
Bi 0.231 0.452 0.500 [8 per cell]
O 0.000 0.201 0.250 [8 per cell]
O 0.000 0.301 0.250 [8 per cell]
O 0.162 0.449 0.000 [8 per cell]
O 0.224 0.115 0.500 [8 per cell]

Largest 8 diffraction maxima, in order of rising 2θ, 5 to 70 degrees two-theta:
d 7.723, intensity 26, (0 4 0); d 3.583, intensity 55, (1 3 1); d 3.250, intensity 52, (1 5 1); d 2.889, intensity 100, (1 7 1); d 2.750, intensity 49, (2 0 0); d 2.657, intensity 48, (0 0 2); d 2.016, intensity 37, (0 10 2); d 1.911, intensity 45, (2 0 2)

***

2.
This entry pairs a crystal structure of Y2AgIrAu with its theoretical powder X-ray diffraction pattern. Radiation: Cu Ka. Structure: DFT lattice parameters and positions (GGA-PBE).
Neutral-atom scattering factors, no anomalous dispersion.

Crystal structure
Unit cell a=5.246 b=5.246 c=5.131 alpha=90.00 beta=90.00 gamma=90.00
Space group P4/mmm (No. 123)
Symmetry-distinct sites (fractional):
Y 0.000 0.500 0.000 [2 per cell]
Ag 0.000 0.000 0.500 [1 per cell]
Ir 0.500 0.500 0.000 [1 per cell]
Au 0.500 0.500 0.500 [1 per cell]

Largest 8 diffraction maxima, in order of rising 2θ, 5 to 70 degrees two-theta:
d 5.246, intensity 87, (1 0 0); d 3.709, intensity 52, (1 1 0); d 3.006, intensity 58, (1 1 1); d 2.623, intensity 100, (2 0 0); d 2.565, intensity 47, (0 0 2); d 1.855, intensity 36, (2 2 0); d 1.834, intensity 69, (2 0 2); d 1.503, intensity 36, (2 2 2)

***

3.
This entry pairs a crystal structure of Dy6Tm2Th with its theoretical powder X-ray diffraction pattern. Radiation: Cu Ka. Structure: DFT lattice parameters and positions (GGA-PBE).
Neutral-atom scattering factors, no anomalous dispersion.

Crystal structure
Unit cell a=7.3402 b=7.3402 c=19.3006 alpha=90.00 beta=90.00 gamma=120.00
Space group R3m (No. 160, hexagonal axes)
Symmetry-distinct sites (fractional):
Dy 0.1724 0.3449 0.0000 [9 per cell]
Dy 0.1907 0.3815 0.2015 [9 per cell]
Tm 0.0000 0.0000 0.6820 [3 per cell]
Tm 0.0000 0.0000 0.8567 [3 per cell]
Th 0.0000 0.0000 0.1185 [3 per cell]

Largest 8 diffraction maxima, in order of rising 2θ, 5 to 70 degrees two-theta:
d 3.217, intensity 37, (0 0 6); d 3.188, intensity 22, (1 1 3); d 3.136, intensity 100, (0 2 1); d 2.654, intensity 99, (0 2 4); d 2.454, intensity 96, (2 0 5); d 1.835, intensity 51, (2 2 0); d 1.594, intensity 23, (2 2 6); d 1.395, intensity 23, (2 2 9)

***

4.
This entry pairs a crystal structure of BaSrHo4O8 with its theoretical powder X-ray diffraction pattern. Radiation: Cu Ka. Structure: DFT lattice parameters and positions (GGA-PBE).
Neutral-atom scattering factors, no anomalous dispersion.

Crystal structure
Unit cell a=3.439 b=12.074 c=10.308 alpha=90.00 beta=90.00 gamma=90.00
Space group Pmc2_1 (No. 26)
Symmetry-distinct sites (fractional):
Ba 0.000 0.100 0.000 [2 per cell]
Sr 0.500 0.398 0.507 [2 per cell]
Ho 0.000 0.143 0.329 [2 per cell]
Ho 0.000 0.363 0.830 [2 per cell]
Ho 0.500 0.144 0.675 [2 per cell]
Ho 0.500 0.366 0.180 [2 per cell]
O 0.000 0.034 0.734 [2 per cell]
O 0.000 0.274 0.632 [2 per cell]
O 0.000 0.330 0.330 [2 per cell]
O 0.000 0.421 0.044 [2 per cell]
O 0.500 0.092 0.463 [2 per cell]
O 0.500 0.180 0.185 [2 per cell]
O 0.500 0.235 0.870 [2 per cell]
O 0.500 0.467 0.770 [2 per cell]

Largest 8 diffraction maxima, in order of rising 2θ, 5 to 70 degrees two-theta:
d 3.018, intensity 48, (0 4 0); d 2.986, intensity 100, (0 2 3); d 2.870, intensity 79, (1 2 1); d 2.861, intensity 37, (1 0 2); d 2.077, intensity 38, (1 4 2); d 1.719, intensity 27, (2 0 0); d 1.494, intensity 27, (0 4 6); d 1.490, intensity 26, (2 2 3)

***

5.
This entry pairs a crystal structure of KHg4H2 with its theoretical powder X-ray diffraction pattern. Radiation: Cu Ka. Structure: DFT lattice parameters and positions (GGA-PBE).
Neutral-atom scattering factors, no anomalous dispersion.

Crystal structure
Unit cell a=5.5877 b=5.5877 c=6.7523 alpha=90.00 beta=90.00 gamma=120.00
Space group P6/mmm (No. 191)
Symmetry-distinct sites (fractional):
K 0.0000 0.0000 0.0000 [1 per cell]
Hg 0.3333 0.6667 0.2181 [4 per cell]
H 0.3333 0.6667 0.5000 [2 per cell]

Largest 8 diffraction maxima, in order of rising 2θ, 5 to 70 degrees two-theta:
d 4.839, intensity 68, (1 0 0); d 3.376, intensity 36, (0 0 2); d 2.794, intensity 100, (1 1 0); d 2.769, intensity 46, (1 0 2); d 2.152, intensity 66, (1 1 2); d 1.613, intensity 20, (3 0 0); d 1.608, intensity 18, (2 1 2); d 1.455, intensity 20, (3 0 2)

***

6.
This entry pairs a crystal structure of BaRu2Au with its theoretical powder X-ray diffraction pattern. Radiation: Cu Ka. Structure: DFT lattice parameters and positions (GGA-PBE).
Neutral-atom scattering factors, no anomalous dispersion.

Crystal structure
Unit cell a=4.3656 b=4.3656 c=17.8241 alpha=90.00 beta=90.00 gamma=120.00
Space group R3m (No. 160, hexagonal axes)
Symmetry-distinct sites (fractional):
Ba 0.0000 0.0000 0.0000 [3 per cell]
Ru 0.0000 0.0000 0.1941 [3 per cell]
Ru 0.0000 0.0000 0.5229 [3 per cell]
Au 0.0000 0.0000 0.7965 [3 per cell]

Largest 8 diffraction maxima, in order of rising 2θ, 5 to 70 degrees two-theta:
d 5.941, intensity 62, (0 0 3); d 3.698, intensity 37, (1 0 1); d 2.883, intensity 89, (1 0 4); d 2.594, intensity 78, (0 1 5); d 2.183, intensity 100, (1 1 0); d 2.049, intensity 25, (1 1 3); d 1.759, intensity 30, (1 1 6); d 1.612, intensity 26, (1 0 10)

***

7.
This entry pairs a crystal structure of CsNdSeS with its theoretical powder X-ray diffraction pattern. Radiation: Cu Ka. Structure: DFT lattice parameters and positions (GGA-PBE).
Neutral-atom scattering factors, no anomalous dispersion.

Crystal structure
Unit cell a=4.3091 b=4.3091 c=25.0947 alpha=90.00 beta=90.00 gamma=120.00
Space group R3m (No. 160, hexagonal axes)
Symmetry-distinct sites (fractional):
Cs 0.0000 0.0000 0.0000 [3 per cell]
Nd 0.0000 0.0000 0.8354 [3 per cell]
Se 0.0000 0.0000 0.4352 [3 per cell]
S 0.0000 0.0000 0.2271 [3 per cell]

Largest 8 diffraction maxima, in order of rising 2θ, 5 to 70 degrees two-theta:
d 4.182, intensity 24, (0 0 6); d 3.691, intensity 32, (1 0 1); d 3.577, intensity 52, (0 1 2); d 2.995, intensity 100, (0 1 5); d 2.585, intensity 47, (1 0 7); d 2.155, intensity 51, (1 1 0); d 1.749, intensity 20, (2 0 5); d 1.501, intensity 18, (1 1 12)

***

8.
This entry pairs a crystal structure of Ti3Sb2P6O24 with its theoretical powder X-ray diffraction pattern. Radiation: Cu Ka. Structure: DFT lattice parameters and positions (GGA-PBE).
Neutral-atom scattering factors, no anomalous dispersion.

Crystal structure
Unit cell a=8.5347 b=8.5347 c=23.1463 alpha=90.00 beta=90.00 gamma=120.00
Space group R3 (No. 146, hexagonal axes)
Symmetry-distinct sites (fractional):
Ti 0.0000 0.0000 0.0000 [3 per cell]
Ti 0.0000 0.0000 0.2042 [3 per cell]
Ti 0.0000 0.0000 0.5275 [3 per cell]
Sb 0.0000 0.0000 0.3751 [3 per cell]
Sb 0.0000 0.0000 0.8191 [3 per cell]
P 0.0019 0.3567 0.9466 [9 per cell]
P 0.0156 0.7243 0.1043 [9 per cell]
O 0.0084 0.4546 0.0015 [9 per cell]
O 0.0097 0.8332 0.4441 [9 per cell]
O 0.0448 0.8298 0.0485 [9 per cell]
O 0.0480 0.8420 0.1570 [9 per cell]
O 0.0668 0.8461 0.7712 [9 per cell]
O 0.1552 0.4758 0.2330 [9 per cell]
O 0.1780 0.4603 0.6203 [9 per cell]
O 0.1863 0.4521 0.9154 [9 per cell]

Largest 8 diffraction maxima, in order of rising 2θ, 5 to 70 degrees two-theta:
d 6.229, intensity 32, (0 1 2); d 4.267, intensity 73, (1 1 0); d 3.923, intensity 55, (0 1 5); d 3.734, intensity 100, (2 -1 3); d 2.888, intensity 35, (2 0 5); d 2.862, intensity 57, (1 1 6); d 2.464, intensity 44, (3 0 0); d 2.134, intensity 34, (3 -1 7)

***

9.
This entry pairs a crystal structure of TiSi2C with its theoretical powder X-ray diffraction pattern. Radiation: Cu Ka. Structure: DFT lattice parameters and positions (GGA-PBE).
Neutral-atom scattering factors, no anomalous dispersion.

Crystal structure
Unit cell a=6.138 b=6.138 c=5.257 alpha=90.00 beta=90.00 gamma=90.00
Space group I-42d (No. 122)
Symmetry-distinct sites (fractional):
Ti 0.000 0.000 0.000 [4 per cell]
Si 0.167 0.250 0.625 [8 per cell]
C 0.000 0.000 0.500 [4 per cell]

Largest 8 diffraction maxima, in order of rising 2θ, 5 to 70 degrees two-theta:
d 3.993, intensity 10, (1 0 1); d 2.433, intensity 100, (2 1 1); d 2.248, intensity 100, (1 1 2); d 2.170, intensity 57, (2 2 0); d 1.907, intensity 31, (3 0 1); d 1.685, intensity 11, (1 0 3); d 1.561, intensity 38, (3 1 2); d 1.535, intensity 12, (4 0 0)

***

10.
This entry pairs a crystal structure of Ba2ErSn3Pt4 with its theoretical powder X-ray diffraction pattern. Radiation: Cu Ka. Structure: DFT lattice parameters and positions (GGA-PBE).
Neutral-atom scattering factors, no anomalous dispersion.

Crystal structure
Unit cell a=4.760 b=4.760 c=11.168 alpha=90.00 beta=90.00 gamma=90.00
Space group P-4m2 (No. 115)
Symmetry-distinct sites (fractional):
Ba 0.000 0.500 0.236 [2 per cell]
Er 0.000 0.000 0.500 [1 per cell]
Sn 0.000 0.500 0.881 [2 per cell]
Sn 0.500 0.500 0.500 [1 per cell]
Pt 0.000 0.000 0.000 [1 per cell]
Pt 0.000 0.500 0.636 [2 per cell]
Pt 0.500 0.500 0.000 [1 per cell]

Largest 8 diffraction maxima, in order of rising 2θ, 5 to 70 degrees two-theta:
d 2.932, intensity 48, (1 0 3); d 2.882, intensity 100, (1 1 2); d 2.380, intensity 77, (2 0 0); d 2.149, intensity 51, (1 1 4); d 2.022, intensity 20, (1 0 5); d 1.848, intensity 25, (2 1 3); d 1.683, intensity 27, (2 2 0); d 1.453, intensity 26, (3 1 2)

***

11.
This entry pairs a crystal structure of Er5IrSe4 with its theoretical powder X-ray diffraction pattern. Radiation: Cu Ka. Structure: DFT lattice parameters and positions (GGA-PBE).
Neutral-atom scattering factors, no anomalous dispersion.

Crystal structure
Unit cell a=4.017 b=4.017 c=29.198 alpha=90.00 beta=90.00 gamma=90.00
Space group I4/mmm (No. 139)
Symmetry-distinct sites (fractional):
Er 0.000 0.000 0.000 [2 per cell]
Er 0.000 0.000 0.207 [4 per cell]
Er 0.000 0.000 0.408 [4 per cell]
Ir 0.000 0.000 0.500 [2 per cell]
Se 0.000 0.000 0.106 [4 per cell]
Se 0.000 0.000 0.306 [4 per cell]

Largest 8 diffraction maxima, in order of rising 2θ, 5 to 70 degrees two-theta:
d 14.599, intensity 15, (0 0 2); d 3.310, intensity 15, (1 0 5); d 2.920, intensity 46, (0 0 10); d 2.841, intensity 100, (1 1 0); d 2.036, intensity 66, (1 1 10); d 2.009, intensity 37, (2 0 0); d 1.655, intensity 34, (2 0 10); d 1.420, intensity 12, (2 2 0)

***

12.
This entry pairs a crystal structure of AcPm4Dy2 with its theoretical powder X-ray diffraction pattern. Radiation: Cu Ka. Structure: DFT lattice parameters and positions (GGA-PBE).
Neutral-atom scattering factors, no anomalous dispersion.

Crystal structure
Unit cell a=6.841 b=9.280 c=9.284 alpha=91.80 beta=110.68 gamma=110.69
Space group P1 (No. 1)
Symmetry-distinct sites (fractional):
Ac 0.000 0.000 0.000 [1 per cell]
Ac 0.499 0.881 0.117 [1 per cell]
Pm 0.193 0.626 0.642 [1 per cell]
Pm 0.342 0.942 0.438 [1 per cell]
Pm 0.381 0.108 0.778 [1 per cell]
Pm 0.387 0.577 0.343 [1 per cell]
Pm 0.693 0.524 0.744 [1 per cell]
Pm 0.841 0.321 0.059 [1 per cell]
Pm 0.882 0.660 0.228 [1 per cell]
Pm 0.889 0.225 0.696 [1 per cell]
Dy 0.110 0.222 0.419 [1 per cell]
Dy 0.356 0.431 0.986 [1 per cell]
Dy 0.612 0.302 0.342 [1 per cell]
Dy 0.855 0.868 0.550 [1 per cell]

Largest 8 diffraction maxima, in order of rising 2θ, 5 to 70 degrees two-theta:
d 3.575, intensity 20, (0 2 1); d 3.116, intensity 20, (1 2 -1); d 2.953, intensity 16, (1 2 0); d 2.883, intensity 100, (-2 2 2); d 2.848, intensity 12, (0 0 3); d 2.696, intensity 27, (2 -1 1); d 2.568, intensity 16, (0 1 3); d 1.665, intensity 13, (-3 5 1)